No. 1
Computed powder X-ray diffraction pattern of Sr7Mn4O15 for a wavelength of 1.5418 Å, from the GGA+U geometry in Alexandria.

Peak list (10 most intense, 10° ≤ 2θ ≤ 90°, most intense first)
hkl  two_theta  I/Imax
1 3 1  31.64  100
2 0 2  31.44  50
0 1 3  26.90  32
1 2 -2  27.80  30
2 1 -1  28.53  27
0 1 4  35.19  26
3 2 0  43.57  24
1 4 -2  42.66  23
1 2 -3  33.66  23
1 2 4  41.32  20

```
data_Sr7Mn4O15
_chemical_formula_sum 'Sr14 Mn8 O30'
_cell_length_a 6.887
_cell_length_b 9.777
_cell_length_c 10.573
_cell_angle_alpha 90.00
_cell_angle_beta 91.71
_cell_angle_gamma 90.00
_symmetry_space_group_name_H-M 'P 1'
_symmetry_Int_Tables_number 1
loop_
_symmetry_equiv_pos_as_xyz
'x,y,z'
loop_
_atom_site_label
_atom_site_fract_x
_atom_site_fract_y
_atom_site_fract_z
Sr1 0.000 0.064 0.000
Sr2 0.000 0.936 0.500
Sr3 0.002 0.436 0.931
Sr4 0.002 0.564 0.431
Sr5 0.181 0.256 0.295
Sr6 0.181 0.744 0.795
Sr7 0.354 0.399 0.661
Sr8 0.354 0.601 0.161
Sr9 0.500 0.250 0.965
Sr10 0.500 0.750 0.465
Sr11 0.647 0.101 0.270
Sr12 0.647 0.899 0.770
Sr13 0.821 0.243 0.637
Sr14 0.821 0.757 0.137
Mn1 0.219 0.081 0.746
Mn2 0.219 0.919 0.246
Mn3 0.421 0.083 0.539
Mn4 0.421 0.917 0.039
Mn5 0.580 0.417 0.392
Mn6 0.580 0.583 0.892
Mn7 0.783 0.419 0.185
Mn8 0.783 0.581 0.685
O1 0.034 0.492 0.178
O2 0.034 0.508 0.678
O3 0.161 0.168 0.584
O4 0.161 0.832 0.084
O5 0.162 0.231 0.846
O6 0.162 0.769 0.346
O7 0.309 0.033 0.381
O8 0.309 0.967 0.881
O9 0.319 0.076 0.126
O10 0.319 0.924 0.626
O11 0.342 0.498 0.422
O12 0.342 0.502 0.922
O13 0.492 0.147 0.712
O14 0.492 0.853 0.212
O15 0.499 0.250 0.465
O16 0.499 0.750 0.965
O17 0.509 0.353 0.219
O18 0.509 0.647 0.719
O19 0.661 0.003 0.510
O20 0.661 0.997 0.010
O21 0.683 0.424 0.805
O22 0.683 0.576 0.305
O23 0.694 0.466 0.551
O24 0.694 0.534 0.051
O25 0.838 0.269 0.085
O26 0.838 0.731 0.585
O27 0.840 0.331 0.347
O28 0.840 0.669 0.847
O29 0.968 0.006 0.753
O30 0.968 0.994 0.253
```

---

No. 2
Computed powder X-ray diffraction pattern of CaMg6CrO8 for a wavelength of 1.5418 Å, from the GGA+U geometry in Alexandria.

Peak list (10 most intense, 10° ≤ 2θ ≤ 90°, most intense first)
hkl  two_theta  I/Imax
2 0 0  40.72  100
2 0 4  60.10  53
0 0 4  42.22  46
1 1 2  35.50  29
2 2 0  58.95  29
2 2 4  75.15  24
0 0 1  10.33  15
3 1 2  70.74  10
4 0 0  88.19  8
1 1 1  30.37  6

```
data_CaMg6CrO8
_chemical_formula_sum 'Ca1 Mg6 Cr1 O8'
_cell_length_a 4.432
_cell_length_b 4.432
_cell_length_c 8.561
_cell_angle_alpha 90.00
_cell_angle_beta 90.00
_cell_angle_gamma 90.00
_symmetry_space_group_name_H-M 'P 1'
_symmetry_Int_Tables_number 1
loop_
_symmetry_equiv_pos_as_xyz
'x,y,z'
loop_
_atom_site_label
_atom_site_fract_x
_atom_site_fract_y
_atom_site_fract_z
Ca1 0.000 0.000 0.000
Mg1 0.000 0.000 0.500
Mg2 0.000 0.500 0.255
Mg3 0.000 0.500 0.745
Mg4 0.500 0.000 0.255
Mg5 0.500 0.000 0.745
Mg6 0.500 0.500 0.500
Cr1 0.500 0.500 0.000
O1 0.000 0.000 0.265
O2 0.000 0.000 0.735
O3 0.000 0.500 0.000
O4 0.000 0.500 0.500
O5 0.500 0.000 0.000
O6 0.500 0.000 0.500
O7 0.500 0.500 0.251
O8 0.500 0.500 0.749
```